(1)
The following is a theoretical powder diffraction line list of PuTlTeSe. It was derived from a crystal structure in Alexandria, relaxed with GGA-PBE, using Cu Kα, 1.54184 Å.
Intensities are scaled so that the largest is 100.

Structural model:
Lattice parameters (Å, degrees): 4.3613 4.3613 24.0490 90.00 90.00 120.00
Space group R3m (No. 160, hexagonal axes)
Inequivalent atoms, fractional coordinates:
1 Pu 0.0000 0.0000 0.0000 [3 per cell]
2 Tl 0.0000 0.0000 0.8373 [3 per cell]
3 Te 0.0000 0.0000 0.4115 [3 per cell]
4 Se 0.0000 0.0000 0.6079 [3 per cell]

Largest 10 diffraction maxima, in order of rising 2θ, 2θ = 10–90°:
Position (°2θ)	I/Imax	hkl
22.18	15	0 0 6
23.85	29	1 0 1
24.71	47	0 1 2
30.08	100	0 1 5
35.32	47	1 0 7
41.41	55	1 1 0
44.67	15	1 0 10
52.02	22	2 0 5
62.99	22	1 1 12
68.57	19	1 2 5

---

(2)
The following is a theoretical powder diffraction line list of PuThSe3. It was derived from a crystal structure in Alexandria, relaxed with GGA-PBE, using Cu Kα, 1.54184 Å.
Intensities are scaled so that the largest is 100.

Structural model:
Lattice parameters (Å, degrees): 7.873 4.161 16.059 90.00 90.00 90.00
Space group Pnma (No. 62)
Inequivalent atoms, fractional coordinates:
1 Pu 0.108 0.250 0.211 [4 per cell]
2 Th 0.245 0.750 0.457 [4 per cell]
3 Se 0.006 0.250 0.398 [4 per cell]
4 Se 0.125 0.750 0.072 [4 per cell]
5 Se 0.166 0.250 0.777 [4 per cell]

Largest 10 diffraction maxima, in order of rising 2θ, 2θ = 10–90°:
Position (°2θ)	I/Imax	hkl
23.26	33	2 0 1
24.85	100	1 0 4
27.15	43	0 1 3
31.80	43	2 1 1
33.03	35	1 1 4
33.26	76	2 1 2
37.16	40	1 1 5
41.02	33	1 0 7
43.50	41	0 2 0
67.28	34	3 2 6

---

(3)
The following is a theoretical powder diffraction line list of PuTh4Se6. It was derived from a crystal structure in Alexandria, relaxed with GGA-PBE, using Cu Kα, 1.54184 Å.
Intensities are scaled so that the largest is 100.

Structural model:
Lattice parameters (Å, degrees): 11.7538 11.7538 14.1473 90.00 90.00 120.00
Space group R-3c (No. 167, hexagonal axes)
Inequivalent atoms, fractional coordinates:
1 Pu 0.0000 0.0000 0.0000 [6 per cell]
2 Th 0.0000 0.0000 0.2500 [6 per cell]
3 Th 0.0000 0.3930 0.2500 [18 per cell]
4 Se 0.0307 0.2097 0.3829 [36 per cell]

Largest 10 diffraction maxima, in order of rising 2θ, 2θ = 10–90°:
Position (°2θ)	I/Imax	hkl
24.20	53	1 1 3
26.27	100	3 0 0
30.79	89	0 2 4
32.34	91	1 3 1
34.20	27	3 1 2
34.44	76	2 1 4
36.01	59	2 2 3
40.64	44	4 1 0
46.61	59	3 2 4
69.95	37	3 5 4

---

(4)
The following is a theoretical powder diffraction line list of Pu2Th2Se7. It was derived from a crystal structure in Alexandria, relaxed with GGA-PBE, using Cu Kα, 1.54184 Å.
Intensities are scaled so that the largest is 100.

Structural model:
Lattice parameters (Å, degrees): 9.670 10.036 6.998 90.00 90.00 90.00
Space group Cmmm (No. 65)
Inequivalent atoms, fractional coordinates:
1 Pu 0.000 0.231 0.000 [4 per cell]
2 Th 0.231 0.000 0.500 [4 per cell]
3 Se 0.000 0.000 0.251 [4 per cell]
4 Se 0.000 0.500 0.000 [2 per cell]
5 Se 0.250 0.250 0.259 [8 per cell]

Largest 10 diffraction maxima, in order of rising 2θ, 2θ = 10–90°:
Position (°2θ)	I/Imax	hkl
21.79	68	0 2 1
22.35	100	2 0 1
35.79	31	0 4 0
36.40	97	2 2 2
37.19	28	4 0 0
42.60	34	2 4 1
43.05	16	2 0 3
43.52	21	4 2 1
52.57	19	4 4 0
64.71	16	2 6 2

---

(5)
The following is a theoretical powder diffraction line list of Pu2Tl4Se5. It was derived from a crystal structure in Alexandria, relaxed with GGA-PBE, using Cu Kα, 1.54184 Å.
Intensities are scaled so that the largest is 100.

Structural model:
Lattice parameters (Å, degrees): 4.2310 4.2310 68.9954 90.00 90.00 120.00
Space group R-3m (No. 166, hexagonal axes)
Inequivalent atoms, fractional coordinates:
1 Pu 0.0000 0.0000 0.1415 [6 per cell]
2 Tl 0.0000 0.0000 0.3132 [6 per cell]
3 Tl 0.0000 0.0000 0.4177 [6 per cell]
4 Se 0.0000 0.0000 0.2136 [6 per cell]
5 Se 0.0000 0.0000 0.3759 [6 per cell]
6 Se 0.0000 0.0000 0.5000 [3 per cell]

Largest 10 diffraction maxima, in order of rising 2θ, 2θ = 10–90°:
Position (°2θ)	I/Imax	hkl
23.21	30	0 0 18
24.84	34	1 0 4
25.94	31	1 0 7
28.21	100	0 1 11
30.40	22	0 1 14
37.76	22	1 0 22
40.94	22	1 0 25
42.74	62	1 1 0
45.45	24	0 1 29
49.19	26	1 1 18

---

(6)
The following is a theoretical powder diffraction line list of PuTl2Zn2Se4. It was derived from a crystal structure in Alexandria, relaxed with GGA-PBE, using Cu Kα, 1.54184 Å.
Intensities are scaled so that the largest is 100.

Structural model:
Lattice parameters (Å, degrees): 15.485 4.144 7.985 90.00 106.35 90.00
Space group C2/m (No. 12)
Inequivalent atoms, fractional coordinates:
1 Pu 0.000 0.000 0.000 [2 per cell]
2 Tl 0.127 0.000 0.546 [4 per cell]
3 Zn 0.171 0.500 0.979 [4 per cell]
4 Se 0.023 0.500 0.756 [4 per cell]
5 Se 0.203 0.000 0.172 [4 per cell]

Largest 10 diffraction maxima, in order of rising 2θ, 2θ = 10–90°:
Position (°2θ)	I/Imax	hkl
22.27	34	1 1 0
23.22	30	0 0 2
23.49	21	4 0 -1
28.38	59	3 1 -1
29.53	49	4 0 1
31.11	100	1 1 -2
32.39	60	3 1 1
36.34	53	5 1 -1
43.68	33	0 2 0
49.67	35	3 1 3

---

(7)
The following is a theoretical powder diffraction line list of Tm3Pu4Se8. It was derived from a crystal structure in Alexandria, relaxed with GGA-PBE, using Cu Kα, 1.54184 Å.
Intensities are scaled so that the largest is 100.

Structural model:
Lattice parameters (Å, degrees): 11.494 11.528 8.131 90.00 134.64 90.00
Space group C2/m (No. 12)
Inequivalent atoms, fractional coordinates:
1 Tm 0.000 0.000 0.000 [2 per cell]
2 Tm 0.250 0.250 0.500 [4 per cell]
3 Pu 0.000 0.000 0.500 [2 per cell]
4 Pu 0.000 0.500 0.000 [2 per cell]
5 Pu 0.250 0.250 0.000 [4 per cell]
6 Se 0.000 0.247 0.000 [4 per cell]
7 Se 0.000 0.256 0.500 [4 per cell]
8 Se 0.249 0.500 0.509 [4 per cell]
9 Se 0.249 0.500 0.991 [4 per cell]

Largest 10 diffraction maxima, in order of rising 2θ, 2θ = 10–90°:
Position (°2θ)	I/Imax	hkl
13.31	17	1 1 -1
26.73	21	2 2 0
26.84	21	2 2 -2
30.91	51	0 0 2
31.08	100	0 4 0
44.34	57	4 0 0
44.54	56	4 4 -2
55.07	20	4 4 0
55.30	20	4 4 -4
73.42	17	8 0 -2

---

(8)
The following is a theoretical powder diffraction line list of TmPuSe. It was derived from a crystal structure in Alexandria, relaxed with GGA-PBE, using Cu Kα, 1.54184 Å.
Intensities are scaled so that the largest is 100.

Structural model:
Lattice parameters (Å, degrees): 3.525 3.525 12.471 90.00 90.00 90.00
Space group I4mm (No. 107)
Inequivalent atoms, fractional coordinates:
1 Tm 0.000 0.000 0.000 [2 per cell]
2 Pu 0.000 0.000 0.284 [2 per cell]
3 Se 0.000 0.000 0.635 [2 per cell]

Largest 10 diffraction maxima, in order of rising 2θ, 2θ = 10–90°:
Position (°2θ)	I/Imax	hkl
26.27	30	1 0 1
28.63	16	0 0 4
33.32	100	1 0 3
36.03	49	1 1 0
46.65	18	1 1 4
51.87	17	2 0 0
57.75	12	1 1 6
58.00	12	1 0 7
63.07	33	2 1 3
87.49	11	3 1 0

---

(9)
The following is a theoretical powder diffraction line list of PuU2Se4. It was derived from a crystal structure in Alexandria, relaxed with GGA-PBE, using Cu Kα, 1.54184 Å.
Intensities are scaled so that the largest is 100.

Structural model:
Lattice parameters (Å, degrees): 3.970 13.447 13.840 90.00 90.00 90.00
Space group Cmcm (No. 63)
Inequivalent atoms, fractional coordinates:
1 Pu 0.000 0.109 0.250 [4 per cell]
2 U 0.000 0.361 0.062 [8 per cell]
3 Se 0.000 0.000 0.000 [4 per cell]
4 Se 0.000 0.277 0.629 [8 per cell]
5 Se 0.000 0.447 0.250 [4 per cell]

Largest 10 diffraction maxima, in order of rising 2θ, 2θ = 10–90°:
Position (°2θ)	I/Imax	hkl
23.38	100	0 2 3
26.72	23	1 1 2
30.07	26	1 3 0
30.77	67	1 3 1
32.80	68	1 3 2
40.28	59	1 1 5
44.97	29	0 6 3
45.22	25	1 5 3
45.70	27	2 0 0
51.96	23	2 2 3

---

(10)
The following is a theoretical powder diffraction line list of Pu6USe8. It was derived from a crystal structure in Alexandria, relaxed with GGA-PBE, using Cu Kα, 1.54184 Å.
Intensities are scaled so that the largest is 100.

Structural model:
Lattice parameters (Å, degrees): 11.724 11.724 11.724 90.00 90.00 90.00
Space group Fm-3m (No. 225)
Inequivalent atoms, fractional coordinates:
1 Pu 0.000 0.250 0.250 [24 per cell]
2 U 0.000 0.000 0.000 [4 per cell]
3 Se 0.000 0.000 0.247 [24 per cell]
4 Se 0.250 0.250 0.250 [8 per cell]

Largest 10 diffraction maxima, in order of rising 2θ, 2θ = 10–90°:
Position (°2θ)	I/Imax	hkl
13.08	10	1 1 1
26.33	36	2 2 2
30.50	100	4 0 0
43.67	76	4 4 0
51.72	19	6 2 2
54.20	27	4 4 4
63.48	13	8 0 0
69.95	8	6 6 2
72.05	35	8 4 0
80.22	27	8 4 4

---

(11)
The following is a theoretical powder diffraction line list of PuU5Se6. It was derived from a crystal structure in Alexandria, relaxed with GGA-PBE, using Cu Kα, 1.54184 Å.
Intensities are scaled so that the largest is 100.

Structural model:
Lattice parameters (Å, degrees): 6.929 12.280 7.126 90.00 109.85 90.00
Space group C2/m (No. 12)
Inequivalent atoms, fractional coordinates:
1 Pu 0.000 0.000 0.000 [2 per cell]
2 U 0.000 0.166 0.500 [4 per cell]
3 U 0.000 0.332 0.000 [4 per cell]
4 U 0.000 0.500 0.500 [2 per cell]
5 Se 0.248 0.500 0.249 [4 per cell]
6 Se 0.249 0.333 0.749 [8 per cell]

Largest 10 diffraction maxima, in order of rising 2θ, 2θ = 10–90°:
Position (°2θ)	I/Imax	hkl
26.73	22	1 3 -1
31.11	100	1 3 1
44.08	26	1 3 -3
44.26	13	0 6 0
44.90	12	2 0 2
45.07	24	3 3 -1
55.08	14	2 6 -2
64.87	13	2 6 2
72.96	12	0 6 4
74.42	12	4 6 0

---

(12)
The following is a theoretical powder diffraction line list of PuU5Se8. It was derived from a crystal structure in Alexandria, relaxed with GGA-PBE, using Cu Kα, 1.54184 Å.
Intensities are scaled so that the largest is 100.

Structural model:
Lattice parameters (Å, degrees): 8.635 8.635 8.625 90.00 90.00 90.00
Space group I-4 (No. 82)
Inequivalent atoms, fractional coordinates:
1 Pu 0.000 0.000 0.000 [2 per cell]
2 U 0.000 0.500 0.250 [2 per cell]
3 U 0.124 0.749 0.625 [8 per cell]
4 Se 0.076 0.827 0.300 [8 per cell]
5 Se 0.079 0.672 0.952 [8 per cell]

Largest 10 diffraction maxima, in order of rising 2θ, 2θ = 10–90°:
Position (°2θ)	I/Imax	hkl
25.27	64	1 2 1
32.81	100	3 1 0
39.05	67	2 3 1
47.09	35	2 4 0
49.53	23	3 3 2
51.90	10	2 2 4
54.19	24	1 3 4
66.81	37	1 6 1
70.74	16	5 4 1
82.03	22	7 1 2

---

(13)
The following is a theoretical powder diffraction line list of PuW4Se8. It was derived from a crystal structure in Alexandria, relaxed with GGA-PBE, using Cu Kα, 1.54184 Å.
Intensities are scaled so that the largest is 100.

Structural model:
Lattice parameters (Å, degrees): 6.8616 6.8616 21.9024 90.00 90.00 120.00
Space group R-3m (No. 166, hexagonal axes)
Inequivalent atoms, fractional coordinates:
1 Pu 0.0000 0.0000 0.0000 [3 per cell]
2 W 0.0000 0.0000 0.5000 [3 per cell]
3 W 0.0000 0.5000 0.5000 [9 per cell]
4 Se 0.0000 0.0000 0.2423 [6 per cell]
5 Se 0.0095 0.5048 0.2428 [18 per cell]

Largest 10 diffraction maxima, in order of rising 2θ, 2θ = 10–90°:
Position (°2θ)	I/Imax	hkl
12.12	53	0 0 3
15.45	12	1 0 1
16.98	12	0 1 2
30.36	12	0 2 1
34.34	100	0 2 4
45.03	45	2 0 8
53.41	29	2 2 0
65.05	16	4 0 4
76.16	19	2 2 12
88.98	14	2 4 4